Simulated powder diffractogram
Compound: Ti6Tc5As
Radiation: CuKα
Structure: a PBE-relaxed structure
Kinematic intensities with the Lorentz-polarization factor, no thermal factor.

Structure:
```
data_Ti6Tc5As
_cell_length_a 4.3762
_cell_length_b 6.2988
_cell_length_c 13.1214
_cell_angle_alpha 90.00
_cell_angle_beta 90.00
_cell_angle_gamma 90.00
_symmetry_space_group_name_H-M 'I m m m'
_symmetry_Int_Tables_number 71
_symmetry_space_group_name_Hall '-I 2 2'
loop_
_atom_site_label
_atom_site_type_symbol
_atom_site_fract_x
_atom_site_fract_y
_atom_site_fract_z
_atom_site_occupancy
Ti1 Ti 0.0000 0.2369 0.0000 1
Ti2 Ti 0.0000 0.2555 0.3300 1
Tc1 Tc 0.0000 0.0000 0.1684 1
Tc2 Tc 0.0000 0.5000 0.1618 1
Tc3 Tc 0.0000 0.5000 0.5000 1
As1 As 0.0000 0.0000 0.5000 1
```

Peak list (10 most intense, 2θ = 10–90°, by angle)
d_spacing, 2θ (°), I_rel, hkl
3.149, 28.34, 83, 0 2 0
3.094, 28.86, 152, 1 0 3
2.207, 40.89, 1000, 1 2 3
2.187, 41.27, 487, 2 0 0
1.797, 50.82, 68, 2 2 0
1.575, 58.62, 83, 0 4 0
1.547, 59.79, 154, 2 0 6
1.278, 74.20, 156, 2 4 0
1.267, 74.98, 303, 3 2 3
1.103, 88.63, 98, 2 4 6